For Cs2TlFeF6, a DFT-relaxed cell (GGA+U, the Materials Project) gives the calculated PXRD pattern in this record (Cu Kα (λ = 1.5418 Å)).

Unit cell a=9.3851 b=9.3851 c=9.3851 alpha=90.00 beta=90.00 gamma=90.00
Space group Fm-3m (No. 225)
Symmetry-distinct sites (fractional):
Cs 0.2500 0.2500 0.2500 (multiplicity 8)
Tl 0.0000 0.0000 0.0000 (multiplicity 4)
Fe 0.0000 0.0000 0.5000 (multiplicity 4)
F 0.0000 0.0000 0.2897 (multiplicity 24)

Top 10 peaks for 10 to 80 degrees two-theta, most intense first:
Position (°2θ)  Rel. int.  (hkl)
26.9  100  2 2 0
47.5  40  4 2 2
38.4  31  4 0 0
75.9  23  6 4 2
62.6  21  6 2 0
55.4  19  4 4 0
31.6  12  3 1 1
16.4  10  1 1 1
42.0  9  3 3 1
69.4  6  4 4 4

For Sr2FeCuPb2O6, a DFT-relaxed cell (GGA+U, the Materials Project) gives the calculated PXRD pattern in this record (Cu Kα (λ = 1.5418 Å)).

Unit cell a=5.5322 b=12.3389 c=5.6538 alpha=90.00 beta=90.00 gamma=90.00
Space group Pmna (No. 53)
Symmetry-distinct sites (fractional):
Sr 0.0000 0.1434 0.0031 (multiplicity 4)
Fe 0.0000 0.0000 0.5000 (multiplicity 2)
Cu 0.0000 0.5000 0.0000 (multiplicity 2)
Pb 0.0000 0.3554 0.5101 (multiplicity 4)
O 0.0000 0.1788 0.4782 (multiplicity 4)
O 0.0000 0.3537 0.9234 (multiplicity 4)
O 0.2500 0.0053 0.7500 (multiplicity 4)

Top 10 peaks for 10 to 80 degrees two-theta, most intense first:
Position (°2θ)  Rel. int.  (hkl)
31.4  100  1 3 1
31.7  36  0 0 2
32.4  36  2 0 0
45.9  30  2 0 2
44.0  21  0 6 0
23.6  21  1 1 1
56.2  21  1 3 3
57.1  19  3 3 1
55.2  16  0 6 2
22.5  15  1 0 1

For MgFe3Ni2SbP6O24, a DFT-relaxed cell (GGA+U, the Materials Project) gives the calculated PXRD pattern in this record (Cu Kα (λ = 1.5418 Å)).

Unit cell a=8.6737 b=8.6737 c=22.0893 alpha=90.00 beta=90.00 gamma=120.00
Space group R3 (No. 146, hexagonal axes)
Symmetry-distinct sites (fractional):
Mg 0.0000 0.0000 0.0000 (multiplicity 3)
Fe 0.0000 0.0000 0.2749 (multiplicity 3)
Fe 0.0000 0.0000 0.4720 (multiplicity 3)
Fe 0.0000 0.0000 0.8737 (multiplicity 3)
Ni 0.0000 0.0000 0.1340 (multiplicity 3)
Ni 0.0000 0.0000 0.6063 (multiplicity 3)
Sb 0.0000 0.0000 0.7405 (multiplicity 3)
P 0.0004 0.6944 0.8781 (multiplicity 9)
P 0.0509 0.3758 0.0402 (multiplicity 9)
O 0.0111 0.1871 0.0587 (multiplicity 9)
O 0.0133 0.8368 0.5439 (multiplicity 9)
O 0.0142 0.8129 0.8231 (multiplicity 9)
O 0.0488 0.2167 0.4291 (multiplicity 9)
O 0.1520 0.6781 0.5981 (multiplicity 9)
O 0.1604 0.4655 0.3486 (multiplicity 9)
O 0.1641 0.6691 0.8746 (multiplicity 9)
O 0.1785 0.4514 0.9868 (multiplicity 9)

Top 10 peaks for 10 to 80 degrees two-theta, most intense first:
Position (°2θ)  Rel. int.  (hkl)
20.5  100  1 1 0
23.8  70  1 1 3
35.9  37  3 0 0
45.8  30  3 -2 8
42.8  26  3 -1 7
56.1  23  4 1 0
31.9  20  2 -1 6
55.2  15  4 -1 8
30.7  15  1 0 7
37.2  13  0 2 7

What did the first record say?
For Cs2TlFeF6, a DFT-relaxed cell (GGA+U, the Materials Project) gives the calculated PXRD pattern in this record (Cu Kα (λ = 1.5418 Å)).

Unit cell a=9.3851 b=9.3851 c=9.3851 alpha=90.00 beta=90.00 gamma=90.00
Space group Fm-3m (No. 225)
Symmetry-distinct sites (fractional):
Cs 0.2500 0.2500 0.2500 (multiplicity 8)
Tl 0.0000 0.0000 0.0000 (multiplicity 4)
Fe 0.0000 0.0000 0.5000 (multiplicity 4)
F 0.0000 0.0000 0.2897 (multiplicity 24)

Top 10 peaks for 10 to 80 degrees two-theta, most intense first:
Position (°2θ)  Rel. int.  (hkl)
26.9  100  2 2 0
47.5  40  4 2 2
38.4  31  4 0 0
75.9  23  6 4 2
62.6  21  6 2 0
55.4  19  4 4 0
31.6  12  3 1 1
16.4  10  1 1 1
42.0  9  3 3 1
69.4  6  4 4 4